(1)
Tb8Pr3Er2: calculated powder diffractogram (λ = 1.5418 Å (Cu Kα)), based on DFT lattice parameters and positions (PBE).
Intensities are scaled so that the largest is 100.

Cell and atoms:
abc: 20.095 7.753 5.690
angles: 90.00 90.05 90.00
Space group C2/m (No. 12)
Inequivalent atoms, fractional coordinates:
Tb (0.110, 0.209, 0.001) (multiplicity 8)
Tb (0.136, 0.500, 0.500) (multiplicity 4)
Tb (0.173, 0.000, 0.501) (multiplicity 4)
Pr (0.000, 0.207, 0.500) (multiplicity 4)
Pr (0.000, 0.500, 0.000) (multiplicity 2)
Er (0.241, 0.500, 0.998) (multiplicity 4)

The 8 most intense peaks (10 to 90 degrees two-theta), in order of falling intensity:
| h k l | two_theta | Rel. int. |
| --- | --- | --- |
| 4 2 -1 | 33.16 | 100 |
| 0 0 2 | 31.44 | 44 |
| 6 0 -1 | 30.98 | 34 |
| 5 1 1 | 29.55 | 33 |
| 2 2 0 | 24.61 | 23 |
| 4 2 -3 | 57.08 | 21 |
| 2 2 -2 | 40.33 | 13 |
| 8 0 0 | 35.75 | 11 |

=====

(2)
Tb5PrEr12: calculated powder diffractogram (λ = 1.5418 Å (Cu Kα)), based on DFT lattice parameters and positions (PBE).
Intensities are scaled so that the largest is 100.

Cell and atoms:
abc: 11.151 17.204 5.907
angles: 90.00 90.03 90.00
Space group C2/m (No. 12)
Inequivalent atoms, fractional coordinates:
Tb (0.000, 0.000, 0.000) (multiplicity 2)
Tb (0.000, 0.169, 0.500) (multiplicity 4)
Tb (0.000, 0.332, 0.000) (multiplicity 4)
Pr (0.000, 0.500, 0.500) (multiplicity 2)
Er (0.171, 0.000, 0.455) (multiplicity 4)
Er (0.175, 0.167, 0.052) (multiplicity 8)
Er (0.176, 0.500, 0.045) (multiplicity 4)
Er (0.178, 0.333, 0.448) (multiplicity 8)

The 8 most intense peaks (10 to 90 degrees two-theta), in order of falling intensity:
| h k l | two_theta | Rel. int. |
| --- | --- | --- |
| 3 3 1 | 32.46 | 100 |
| 0 6 0 | 31.19 | 30 |
| 0 0 2 | 30.26 | 25 |
| 0 6 2 | 44.01 | 18 |
| 6 6 0 | 59.26 | 13 |
| 3 3 3 | 55.16 | 13 |
| 1 3 2 | 35.11 | 11 |
| 6 0 0 | 49.03 | 11 |

=====

(3)
Tb2Pr2Er7: calculated powder diffractogram (λ = 1.5418 Å (Cu Kα)), based on DFT lattice parameters and positions (PBE).
Intensities are scaled so that the largest is 100.

Cell and atoms:
abc: 11.214 11.536 6.069
angles: 90.00 113.95 90.00
Space group C2/m (No. 12)
Inequivalent atoms, fractional coordinates:
Tb (0.000, 0.211, 0.000) (multiplicity 4)
Pr (0.096, 0.500, 0.309) (multiplicity 4)
Er (0.000, 0.000, 0.500) (multiplicity 2)
Er (0.174, 0.238, 0.679) (multiplicity 8)
Er (0.229, 0.000, 0.076) (multiplicity 4)

The 8 most intense peaks (10 to 90 degrees two-theta), in order of falling intensity:
| h k l | two_theta | Rel. int. |
| --- | --- | --- |
| 2 2 1 | 32.18 | 100 |
| 0 4 0 | 31.01 | 48 |
| 2 2 -2 | 33.66 | 40 |
| 3 3 -1 | 33.90 | 30 |
| 1 1 -2 | 30.78 | 27 |
| 4 0 -1 | 31.98 | 27 |
| 3 1 -1 | 25.64 | 22 |
| 4 4 -1 | 45.15 | 16 |

=====

(4)
TbPr3Er7: calculated powder diffractogram (λ = 1.5418 Å (Cu Kα)), based on DFT lattice parameters and positions (PBE).
Intensities are scaled so that the largest is 100.

Cell and atoms:
abc: 6.506 6.679 8.599
angles: 99.41 98.35 95.17
Space group P-1 (No. 2)
Inequivalent atoms, fractional coordinates:
Tb (0.000, 0.000, 0.000) (multiplicity 1)
Pr (0.302, 0.438, 0.336) (multiplicity 2)
Pr (0.500, 0.000, 0.500) (multiplicity 1)
Er (0.000, 0.500, 0.000) (multiplicity 1)
Er (0.061, 0.208, 0.645) (multiplicity 2)
Er (0.221, 0.725, 0.714) (multiplicity 2)
Er (0.487, 0.233, 0.920) (multiplicity 2)

The 8 most intense peaks (10 to 90 degrees two-theta), in order of falling intensity:
| h k l | two_theta | Rel. int. |
| --- | --- | --- |
| -1 2 1 | 32.03 | 100 |
| 1 2 -1 | 31.53 | 92 |
| 2 0 -2 | 32.32 | 83 |
| 1 1 2 | 33.00 | 34 |
| 0 1 -3 | 32.56 | 32 |
| 1 -2 2 | 34.72 | 21 |
| 1 0 -3 | 32.87 | 17 |
| -3 2 3 | 57.79 | 15 |

=====

(5)
Tb2PrEr6: calculated powder diffractogram (λ = 1.5418 Å (Cu Kα)), based on DFT lattice parameters and positions (PBE).
Intensities are scaled so that the largest is 100.

Cell and atoms:
abc: 10.615 10.615 5.015
angles: 90.00 90.00 90.00
Space group P4_2/mnm (No. 136)
Inequivalent atoms, fractional coordinates:
Tb (0.168, 0.168, 0.000) (multiplicity 4)
Pr (0.000, 0.000, 0.500) (multiplicity 2)
Er (0.001, 0.335, 0.500) (multiplicity 8)
Er (0.168, 0.832, 0.000) (multiplicity 4)

The 8 most intense peaks (10 to 90 degrees two-theta), in order of falling intensity:
| h k l | two_theta | Rel. int. |
| --- | --- | --- |
| 3 0 1 | 30.93 | 100 |
| 3 3 0 | 35.86 | 51 |
| 6 0 0 | 51.62 | 36 |
| 6 3 1 | 61.44 | 28 |
| 6 3 3 | 84.29 | 18 |
| 3 0 3 | 61.33 | 14 |
| 6 0 2 | 64.45 | 12 |
| 9 3 0 | 87.07 | 11 |

=====

(6)
Tb15PrEr4: calculated powder diffractogram (λ = 1.5418 Å (Cu Kα)), based on DFT lattice parameters and positions (PBE).
Intensities are scaled so that the largest is 100.

Cell and atoms:
abc: 7.127 10.033 17.774
angles: 90.00 90.00 90.00
Space group Cmmm (No. 65)
Inequivalent atoms, fractional coordinates:
Tb (0.000, 0.000, 0.000) (multiplicity 2)
Tb (0.000, 0.000, 0.201) (multiplicity 4)
Tb (0.000, 0.000, 0.400) (multiplicity 4)
Tb (0.250, 0.250, 0.102) (multiplicity 8)
Tb (0.250, 0.250, 0.301) (multiplicity 8)
Tb (0.250, 0.250, 0.500) (multiplicity 4)
Pr (0.000, 0.500, 0.000) (multiplicity 2)
Er (0.000, 0.500, 0.202) (multiplicity 4)
Er (0.000, 0.500, 0.400) (multiplicity 4)

The 8 most intense peaks (10 to 90 degrees two-theta), in order of falling intensity:
| h k l | two_theta | Rel. int. |
| --- | --- | --- |
| 2 2 0 | 30.80 | 100 |
| 2 0 5 | 35.67 | 34 |
| 2 4 5 | 51.43 | 30 |
| 4 2 5 | 61.08 | 29 |
| 0 4 0 | 35.80 | 17 |
| 4 6 5 | 83.92 | 15 |
| 2 6 0 | 61.24 | 14 |
| 4 4 10 | 86.55 | 8 |

=====

(7)
Tb7PrEr5: calculated powder diffractogram (λ = 1.5418 Å (Cu Kα)), based on DFT lattice parameters and positions (PBE).
Intensities are scaled so that the largest is 100.

Cell and atoms:
abc: 6.651 11.178 11.543
angles: 90.00 90.00 90.00
Space group Imm2 (No. 44)
Inequivalent atoms, fractional coordinates:
Tb (0.000, 0.000, 0.000) (multiplicity 2)
Tb (0.000, 0.000, 0.306) (multiplicity 2)
Tb (0.000, 0.327, 0.748) (multiplicity 4)
Tb (0.000, 0.330, 0.250) (multiplicity 4)
Tb (0.000, 0.500, 0.994) (multiplicity 2)
Pr (0.000, 0.000, 0.698) (multiplicity 2)
Er (0.000, 0.500, 0.501) (multiplicity 2)
Er (0.236, 0.231, 0.499) (multiplicity 8)

The 8 most intense peaks (10 to 90 degrees two-theta), in order of falling intensity:
| h k l | two_theta | Rel. int. |
| --- | --- | --- |
| 0 0 4 | 31.01 | 100 |
| 2 2 2 | 35.03 | 85 |
| 1 3 2 | 31.59 | 76 |
| 2 2 0 | 31.29 | 55 |
| 2 2 6 | 57.77 | 32 |
| 0 4 2 | 35.70 | 29 |
| 1 3 0 | 27.44 | 27 |
| 2 6 0 | 56.63 | 24 |

=====

(8)
Tb5Pr2Er6: calculated powder diffractogram (λ = 1.5418 Å (Cu Kα)), based on DFT lattice parameters and positions (PBE).
Intensities are scaled so that the largest is 100.

Cell and atoms:
abc: 11.685 20.226 3.572
angles: 90.00 90.00 90.00
Space group Pbam (No. 55)
Inequivalent atoms, fractional coordinates:
Tb (0.000, 0.000, 0.000) (multiplicity 2)
Tb (0.092, 0.279, 0.000) (multiplicity 4)
Tb (0.200, 0.552, 0.000) (multiplicity 4)
Pr (0.168, 0.718, 0.500) (multiplicity 4)
Er (0.060, 0.423, 0.500) (multiplicity 4)
Er (0.077, 0.135, 0.500) (multiplicity 4)
Er (0.181, 0.875, 0.000) (multiplicity 4)

The 8 most intense peaks (10 to 90 degrees two-theta), in order of falling intensity:
| h k l | two_theta | Rel. int. |
| --- | --- | --- |
| 2 3 1 | 32.23 | 100 |
| 1 7 0 | 31.90 | 99 |
| 4 1 0 | 30.93 | 59 |
| 1 4 1 | 31.61 | 43 |
| 2 4 1 | 34.36 | 41 |
| 1 7 2 | 61.54 | 35 |
| 6 4 1 | 56.85 | 34 |
| 3 3 1 | 36.64 | 28 |

=====

(9)
Tb2Pr2Er5: calculated powder diffractogram (λ = 1.5418 Å (Cu Kα)), based on DFT lattice parameters and positions (PBE).
Intensities are scaled so that the largest is 100.

Cell and atoms:
abc: 21.645 3.484 8.215
angles: 90.00 99.92 90.00
Space group C2/m (No. 12)
Inequivalent atoms, fractional coordinates:
Tb (0.047, 0.000, 0.355) (multiplicity 4)
Pr (0.182, 0.500, 0.142) (multiplicity 4)
Er (0.000, 0.500, 0.000) (multiplicity 2)
Er (0.096, 0.500, 0.732) (multiplicity 4)
Er (0.191, 0.000, 0.530) (multiplicity 4)

The 8 most intense peaks (10 to 90 degrees two-theta), in order of falling intensity:
| h k l | two_theta | Rel. int. |
| --- | --- | --- |
| 5 1 1 | 36.23 | 100 |
| 3 1 -1 | 29.83 | 80 |
| 3 1 -2 | 34.90 | 74 |
| 4 0 2 | 29.94 | 73 |
| 8 0 -1 | 33.56 | 71 |
| 2 0 -3 | 32.82 | 70 |
| 1 1 -1 | 27.91 | 43 |
| 6 0 -1 | 25.58 | 42 |

=====

(10)
TbPr4Er: calculated powder diffractogram (λ = 1.5418 Å (Cu Kα)), based on DFT lattice parameters and positions (PBE).
Intensities are scaled so that the largest is 100.

Cell and atoms:
abc: 11.281 6.053 7.114
angles: 90.00 121.65 90.00
Space group C2/m (No. 12)
Inequivalent atoms, fractional coordinates:
Tb (0.000, 0.000, 0.000) (multiplicity 2)
Pr (0.163, 0.500, 0.511) (multiplicity 4)
Pr (0.170, 0.500, 0.018) (multiplicity 4)
Er (0.000, 0.000, 0.500) (multiplicity 2)

The 8 most intense peaks (10 to 90 degrees two-theta), in order of falling intensity:
| h k l | two_theta | Rel. int. |
| --- | --- | --- |
| 0 2 0 | 29.51 | 100 |
| 3 1 0 | 31.62 | 84 |
| 3 1 -2 | 31.72 | 82 |
| 3 3 0 | 53.66 | 37 |
| 0 2 2 | 42.22 | 37 |
| 3 3 -2 | 53.79 | 36 |
| 0 4 2 | 69.43 | 17 |
| 6 2 -2 | 57.73 | 15 |

=====

(11)
TbPr4Er5: calculated powder diffractogram (λ = 1.5418 Å (Cu Kα)), based on DFT lattice parameters and positions (PBE).
Intensities are scaled so that the largest is 100.

Cell and atoms:
abc: 3.528 8.750 11.360
angles: 90.10 90.00 101.58
Space group P-1 (No. 2)
Inequivalent atoms, fractional coordinates:
Tb (0.000, 0.000, 0.000) (multiplicity 1)
Pr (0.158, 0.319, 0.250) (multiplicity 2)
Pr (0.467, 0.933, 0.251) (multiplicity 2)
Er (0.000, 0.000, 0.500) (multiplicity 1)
Er (0.327, 0.653, 0.048) (multiplicity 2)
Er (0.328, 0.655, 0.454) (multiplicity 2)

The 8 most intense peaks (10 to 90 degrees two-theta), in order of falling intensity:
| h k l | two_theta | Rel. int. |
| --- | --- | --- |
| 1 1 2 | 33.77 | 100 |
| 0 0 4 | 31.51 | 46 |
| 0 3 0 | 31.31 | 28 |
| -1 1 1 | 26.97 | 21 |
| 0 1 3 | 25.72 | 17 |
| 1 -1 5 | 47.92 | 15 |
| 2 -1 4 | 61.92 | 15 |
| 1 4 2 | 57.31 | 12 |

=====

(12)
Tb5Pr3Er2: calculated powder diffractogram (λ = 1.5418 Å (Cu Kα)), based on DFT lattice parameters and positions (PBE).
Intensities are scaled so that the largest is 100.

Cell and atoms:
abc: 10.795 16.045 9.459
angles: 90.00 124.56 90.00
Space group C2/c (No. 15)
Inequivalent atoms, fractional coordinates:
Tb (0.000, 0.027, 0.250) (multiplicity 4)
Tb (0.000, 0.272, 0.750) (multiplicity 4)
Tb (0.000, 0.469, 0.750) (multiplicity 4)
Tb (0.236, 0.388, 0.226) (multiplicity 8)
Pr (0.000, 0.234, 0.250) (multiplicity 4)
Pr (0.143, 0.124, 0.045) (multiplicity 8)
Er (0.153, 0.384, 0.546) (multiplicity 8)

The 8 most intense peaks (10 to 90 degrees two-theta), in order of falling intensity:
| h k l | two_theta | Rel. int. |
| --- | --- | --- |
| 2 4 0 | 30.03 | 100 |
| 2 2 1 | 30.36 | 53 |
| 2 2 -3 | 30.47 | 52 |
| 4 0 -2 | 33.20 | 49 |
| 0 4 2 | 32.03 | 24 |
| 0 6 3 | 48.89 | 19 |
| 2 6 -1 | 37.53 | 19 |
| 0 0 4 | 46.68 | 19 |